Starting from a DFT-relaxed cell (GGA-PBE, Alexandria), the powder XRD pattern of PrAlH8Ru2 was simulated for CuKα.
Neutral-atom scattering factors, no anomalous dispersion.

Peak list (10 most intense, 2θ from 10° to 90°, in order of rising 2θ)
2theta, I (rel.), h k l
23.0, 516, 1 0 1
30.9, 1000, 1 0 4
34.9, 670, 0 1 5
39.2, 783, 1 1 0
50.8, 242, 0 2 4
53.5, 187, 2 0 5
64.1, 248, 1 1 9
66.0, 223, 2 1 4
68.3, 182, 1 2 5
71.1, 132, 3 0 0

Atomic structure:
```
data_PrAlH8Ru2
_symmetry_space_group_name_H-M 'R -3 m'
_symmetry_Int_Tables_number 166
_symmetry_space_group_name_Hall '-R 3 2"'
_cell_length_a 4.5922
_cell_length_b 4.5922
_cell_length_c 16.8709
_cell_angle_alpha 90.00
_cell_angle_beta 90.00
_cell_angle_gamma 120.00
loop_
_atom_site_label
_atom_site_type_symbol
_atom_site_fract_x
_atom_site_fract_y
_atom_site_fract_z
_atom_site_occupancy
Pr1 Pr 0.0000 0.0000 0.0000 1
Al1 Al 0.0000 0.0000 0.5000 1
H1 H 0.0000 0.0000 0.3107 1
H2 H 0.0451 0.5225 0.0774 1
Ru1 Ru 0.0000 0.0000 0.2165 1
```



Starting from a DFT-relaxed cell (GGA-PBE, Alexandria), the powder XRD pattern of Ti12AlSn3 was simulated for CuKα.
Neutral-atom scattering factors, no anomalous dispersion.

Peak list (10 most intense, 2θ from 10° to 90°, in order of rising 2θ)
2theta, I (rel.), h k l
24.2, 251, 1 1 0
34.4, 453, 2 0 0
38.7, 580, 1 2 0
42.5, 1000, 1 1 4
64.5, 113, 0 3 4
67.3, 504, 2 3 2
72.6, 85, 0 4 0
82.9, 96, 0 2 8
85.4, 64, 2 4 2
88.0, 127, 2 3 6

Atomic structure:
```
data_Ti12AlSn3
_symmetry_space_group_name_H-M 'P m m m'
_symmetry_Int_Tables_number 47
_cell_length_a 5.2019
_cell_length_b 5.2066
_cell_length_c 10.4237
_cell_angle_alpha 90.00
_cell_angle_beta 90.00
_cell_angle_gamma 90.00
loop_
_symmetry_equiv_pos_as_xyz
'x,y,z'
'-x,-y,-z'
'-x,-y,z'
'x,y,-z'
'x,-y,-z'
'-x,y,z'
'-x,y,-z'
'x,-y,z'
loop_
_atom_site_label
_atom_site_type_symbol
_atom_site_fract_x
_atom_site_fract_y
_atom_site_fract_z
_atom_site_occupancy
Ti1 Ti 0.0000 0.0000 0.1210 1
Ti2 Ti 0.0000 0.0000 0.3731 1
Ti3 Ti 0.2484 0.5000 0.5000 1
Ti4 Ti 0.2556 0.5000 0.0000 1
Ti5 Ti 0.5000 0.2471 0.2446 1
Al1 Al 0.5000 0.0000 0.0000 1
Sn1 Sn 0.0000 0.5000 0.2503 1
Sn2 Sn 0.5000 0.0000 0.5000 1
```